(1)
Diffraction record for La2ThCd6. The powder diffractogram is theoretical, not measured: it uses a crystal structure in Alexandria, relaxed with PBE and Cu Kα.

Structural model:
```
data_La2ThCd6
_cell_length_a 8.9350
_cell_length_b 8.9350
_cell_length_c 3.4299
_cell_angle_alpha 90.00
_cell_angle_beta 90.00
_cell_angle_gamma 120.00
_space_group_name_H-M_alt 'P 6/m m m'
_space_group_IT_number 191
_space_group_name_Hall '-P 6 2'
loop_
_atom_site_label
_atom_site_type_symbol
_atom_site_fract_x
_atom_site_fract_y
_atom_site_fract_z
La1 La 0.3333 0.6667 0.0000
Th1 Th 0.0000 0.0000 0.0000
Cd1 Cd 0.0000 0.3322 0.5000
```

Peak list (10 most intense, 2θ = 10–80°, by angle)
2θ (°)  intensity  index
11.4  6  1 0 0
19.9  5  1 1 0
32.9  100  1 1 1
34.8  86  3 0 0
48.6  33  2 2 1
53.4  8  0 0 2
61.2  33  4 1 1
62.4  15  3 3 0
65.3  26  3 0 2
73.4  9  6 0 0

(2)
Diffraction record for Tm5SiBi4. The powder diffractogram is theoretical, not measured: it uses a crystal structure in Alexandria, relaxed with PBE and Cu Kα.

Structural model:
```
data_Tm5SiBi4
_cell_length_a 9.751
_cell_length_b 9.751
_cell_length_c 6.175
_cell_angle_alpha 90.00
_cell_angle_beta 90.00
_cell_angle_gamma 90.00
_space_group_name_H-M_alt 'I 4/m'
_space_group_IT_number 87
_space_group_name_Hall '-I 4'
loop_
_atom_site_label
_atom_site_type_symbol
_atom_site_fract_x
_atom_site_fract_y
_atom_site_fract_z
Tm1 Tm 0.000 0.000 0.000
Tm2 Tm 0.097 0.278 0.500
Si1 Si 0.000 0.000 0.500
Bi1 Bi 0.091 0.305 0.000
```

Peak list (10 most intense, 2θ = 10–80°, by angle)
2θ (°)  intensity  index
25.0  3  1 2 1
28.9  100  0 0 2
31.1  5  3 0 1
36.3  5  3 2 1
41.4  75  1 3 2
51.3  26  4 2 2
59.6  4  1 6 1
60.0  12  0 0 4
67.9  32  1 3 4
75.5  23  4 2 4

(3)
Diffraction record for Co2Ni7Ir2. The powder diffractogram is theoretical, not measured: it uses a crystal structure in Alexandria, relaxed with PBE and Cu Kα.

Structural model:
```
data_Co2Ni7Ir2
_cell_length_a 4.406
_cell_length_b 4.414
_cell_length_c 7.447
_cell_angle_alpha 92.65
_cell_angle_beta 97.21
_cell_angle_gamma 113.52
_space_group_name_H-M_alt 'P -1'
_space_group_IT_number 2
_space_group_name_Hall '-P 1'
loop_
_atom_site_label
_atom_site_type_symbol
_atom_site_fract_x
_atom_site_fract_y
_atom_site_fract_z
Co1 Co 0.021 0.271 0.087
Ni1 Ni 0.000 0.500 0.500
Ni2 Ni 0.079 0.804 0.241
Ni3 Ni 0.436 0.704 0.755
Ni4 Ni 0.470 0.234 0.916
Ir1 Ir 0.348 0.169 0.561
```

Peak list (10 most intense, 2θ = 10–80°, by angle)
2θ (°)  intensity  index
12.0  86  0 0 1
37.7  37  1 1 0
41.5  53  2 -1 0
43.4  100  -1 1 3
45.1  37  0 2 0
45.2  44  2 0 -1
45.5  98  1 -1 3
48.6  44  1 1 2
48.9  48  1 1 -3
49.5  36  2 -2 0

(4)
Diffraction record for K2ScSiO4. The powder diffractogram is theoretical, not measured: it uses a crystal structure in Alexandria, relaxed with PBE and Cu Kα.

Structural model:
```
data_K2ScSiO4
_cell_length_a 5.334
_cell_length_b 12.320
_cell_length_c 21.956
_cell_angle_alpha 90.00
_cell_angle_beta 90.00
_cell_angle_gamma 90.00
_space_group_name_H-M_alt 'F d d d'
_space_group_IT_number 70
loop_
_space_group_symop_operation_xyz
'x,y,z'
'-x,-y,-z'
'-x+1/4,-y+1/4,z'
'x+1/4,y+1/4,-z'
'x,-y+1/4,-z+1/4'
'-x,y+1/4,z+1/4'
'-x+1/4,y,-z+1/4'
'x+1/4,-y,z+1/4'
'x,y+1/2,z+1/2'
'-x,-y+1/2,-z+1/2'
'-x+1/4,-y+3/4,z+1/2'
'x+1/4,y+3/4,-z+1/2'
'x,-y+3/4,-z+3/4'
'-x,y+3/4,z+3/4'
'-x+1/4,y+1/2,-z+3/4'
'x+1/4,-y+1/2,z+3/4'
'x+1/2,y,z+1/2'
'-x+1/2,-y,-z+1/2'
'-x+3/4,-y+1/4,z+1/2'
'x+3/4,y+1/4,-z+1/2'
'x+1/2,-y+1/4,-z+3/4'
'-x+1/2,y+1/4,z+3/4'
'-x+3/4,y,-z+3/4'
'x+3/4,-y,z+3/4'
'x+1/2,y+1/2,z'
'-x+1/2,-y+1/2,-z'
'-x+3/4,-y+3/4,z'
'x+3/4,y+3/4,-z'
'x+1/2,-y+3/4,-z+1/4'
'-x+1/2,y+3/4,z+1/4'
'-x+3/4,y+1/2,-z+1/4'
'x+3/4,-y+1/2,z+1/4'
loop_
_atom_site_label
_atom_site_type_symbol
_atom_site_fract_x
_atom_site_fract_y
_atom_site_fract_z
K1 K 0.125 0.125 0.305
Sc1 Sc 0.125 0.125 0.125
Si1 Si 0.125 0.125 0.625
O1 O 0.077 0.296 0.837
```

Peak list (10 most intense, 2θ = 10–80°, by angle)
2θ (°)  intensity  index
16.1  92  0 0 4
16.5  57  0 2 2
21.8  28  1 1 3
28.4  100  0 2 6
29.0  34  0 4 0
30.1  43  1 3 3
34.3  51  1 3 5
36.7  33  2 2 0
41.9  26  2 0 6
51.8  31  2 4 6